(1)
For NaZnAsH4O6, a structure optimized by DFT (GGA-PBE) gives the theoretical powder XRD pattern in this record (Cu Kα (weighted mean of Kα1 and Kα2)).
Lines closer than 0.1° are merged.

The 10 most intense peaks (2θ = 10–80°), sorted by position:
hkl	2θ (°)	Rel. int.
0 0 1	11.1	100
1 0 -1	18.8	36
1 0 1	19.3	35
1 0 -2	26.9	38
1 0 2	27.6	36
0 2 0	28.7	31
1 1 -2	30.4	18
0 2 -1	30.5	19
2 0 0	31.1	21
0 2 1	31.3	35

Cell and atoms:
```
NaZnAsH4O6
1.0
5.7540 0.0000 0.0000
-0.1503 6.2161 0.0000
-0.2003 -0.3001 7.9460
Na Zn As H O
2 2 2 8 12
direct
0.0000 0.0000 0.0000
0.5000 0.5000 0.0000
0.1865 0.2465 0.6119
0.8135 0.7535 0.3881
0.3126 0.7514 0.6179
0.6874 0.2486 0.3821
0.0406 0.4051 0.1493
0.2504 0.2946 0.2312
0.3685 0.8890 0.9739
0.4376 0.8970 0.1674
0.5624 0.1030 0.8326
0.6315 0.1110 0.0261
0.7496 0.7054 0.7688
0.9594 0.5949 0.8507
0.1483 0.7637 0.4385
0.1759 0.3194 0.1184
0.2417 0.5323 0.7384
0.2747 0.9849 0.7456
0.3330 0.8245 0.0815
0.3940 0.2575 0.4175
0.6060 0.7425 0.5825
0.6670 0.1755 0.9185
0.7253 0.0151 0.2544
0.7583 0.4677 0.2616
0.8241 0.6806 0.8816
0.8517 0.2363 0.5615
```

(2)
For NaZnAsH4O6, a structure optimized by DFT (GGA-PBE) gives the theoretical powder XRD pattern in this record (Cu Kα (weighted mean of Kα1 and Kα2)).
Lines closer than 0.1° are merged.

The 10 most intense peaks (2θ = 10–80°), sorted by position:
hkl	2θ (°)	Rel. int.
0 0 1	11.1	100
1 0 1	17.5	35
1 0 -1	19.6	26
1 0 2	25.4	40
1 1 2	28.1	15
1 0 -2	28.3	32
0 2 0	28.8	28
0 2 1	30.0	42
2 0 1	30.8	12
0 2 -1	31.9	25

Cell and atoms:
```
NaZnAsH4O6
1.0
6.0056 0.0000 0.0000
0.1503 6.2205 0.0000
0.9333 0.7321 7.9800
Na Zn As H O
2 2 2 8 12
direct
0.0000 0.0000 0.0000
0.5000 0.5000 0.0000
0.1993 0.2681 0.3941
0.8007 0.7319 0.6059
0.3190 0.7605 0.3936
0.6810 0.2395 0.6064
0.2564 0.3300 0.7731
0.3099 0.1476 0.8993
0.3736 0.8549 0.0389
0.4851 0.8988 0.8449
0.5149 0.1012 0.1551
0.6264 0.1451 0.9611
0.6901 0.8524 0.1007
0.7436 0.6700 0.2269
0.1299 0.7570 0.5693
0.2368 0.2910 0.8962
0.2717 0.5579 0.2691
0.2890 0.0035 0.2637
0.3467 0.8481 0.9218
0.4039 0.2534 0.5715
0.5961 0.7466 0.4285
0.6533 0.1519 0.0782
0.7110 0.9965 0.7363
0.7283 0.4421 0.7309
0.7632 0.7090 0.1038
0.8701 0.2430 0.4307
```

Question: Which formula does entry 1 have?
Answer: NaZnAsH4O6